# 1
Calculated powder XRD pattern
Compound: YTm3Rh2
Radiation: CuKα
Structure: DFT lattice parameters and positions (GGA-PBE)
No peak broadening, texture or thermal motion is included.

Cell: 4.5680 8.6821 7.1682 Å, 90.00 90.00 90.00°
Space group Pmc2_1 (No. 26)
Unique sites:
Y: 0.0000 0.0838 0.0000 [2 per cell]
Tm: 0.0000 0.3306 0.6298 [2 per cell]
Tm: 0.5000 0.1733 0.3465 [2 per cell]
Tm: 0.5000 0.4151 0.9754 [2 per cell]
Rh: 0.0000 0.3452 0.2337 [2 per cell]
Rh: 0.5000 0.1593 0.7416 [2 per cell]

Largest 6 diffraction maxima, by angle, 2θ from 10° to 90°:
d/Å, Rel. int., h k l
2.881, 100, 1 2 1
2.820, 45, 1 0 2
2.682, 92, 1 1 2
2.445, 58, 1 3 0
2.284, 54, 2 0 0
1.622, 30, 1 5 0

=====

# 2
Calculated powder XRD pattern
Compound: Li2ReH6
Radiation: CuKα
Structure: DFT lattice parameters and positions (GGA-PBE)
No peak broadening, texture or thermal motion is included.

Cell: 5.1390 5.1390 6.5989 Å, 90.00 90.00 90.00°
Space group P4/mnc (No. 128)
Unique sites:
Li: 0.0000 0.5000 0.2500 [4 per cell]
Re: 0.0000 0.0000 0.0000 [2 per cell]
H: 0.0000 0.0000 0.2680 [4 per cell]
H: 0.1368 0.3150 0.0000 [8 per cell]

Largest 6 diffraction maxima, by angle, 2θ from 10° to 90°:
d/Å, Rel. int., h k l
4.055, 100, 1 0 1
3.634, 34, 1 1 0
2.570, 17, 2 0 0
2.443, 29, 1 1 2
2.170, 38, 2 1 1
1.590, 21, 2 1 3

=====

# 3
Calculated powder XRD pattern
Compound: K2Na7Hg
Radiation: CuKα
Structure: DFT lattice parameters and positions (GGA-PBE)
No peak broadening, texture or thermal motion is included.

Cell: 12.3060 12.3060 12.3060 Å, 90.00 90.00 90.00°
Space group Fm-3m (No. 225)
Unique sites:
K: 0.2500 0.2500 0.2500 [8 per cell]
Na: 0.0000 0.0000 0.0000 [4 per cell]
Na: 0.0000 0.0000 0.2602 [24 per cell]
Hg: 0.0000 0.0000 0.5000 [4 per cell]

Largest 6 diffraction maxima, by angle, 2θ from 10° to 90°:
d/Å, Rel. int., h k l
7.105, 97, 1 1 1
6.153, 56, 2 0 0
4.351, 100, 2 2 0
3.710, 59, 3 1 1
3.076, 65, 4 0 0
2.175, 48, 4 4 0

=====

# 4
Calculated powder XRD pattern
Compound: Y4HgRh2
Radiation: CuKα
Structure: DFT lattice parameters and positions (GGA-PBE)
No peak broadening, texture or thermal motion is included.

Cell: 5.0520 8.7577 15.1657 Å, 90.00 90.00 90.00°
Space group Cmcm (No. 63)
Unique sites:
Y: 0.0000 0.0000 0.0000 [4 per cell]
Y: 0.0000 0.3330 0.1243 [8 per cell]
Y: 0.0000 0.3339 0.7500 [4 per cell]
Hg: 0.0000 0.0007 0.7500 [4 per cell]
Rh: 0.0000 0.3335 0.5598 [8 per cell]

Largest 6 diffraction maxima, by angle, 2θ from 10° to 90°:
d/Å, Rel. int., h k l
3.791, 24, 0 0 4
2.866, 48, 0 2 4
2.527, 100, 2 0 0
2.493, 39, 1 1 5
1.895, 17, 0 0 8
1.516, 23, 0 0 10